This entry pairs a crystal structure of LiHfZrCd with its simulated X-ray powder pattern. Radiation: Cu Kα (λ = 1.5418 Å). Structure: a crystal structure in Alexandria, relaxed with PBE.
Kinematic intensities with the Lorentz-polarization factor, no thermal factor.

Top 6 peaks for 2θ from 5° to 70°, sorted by position:
2θ (°), I/Imax, hkl
8.9, 100, 0 0 2
17.9, 45, 0 0 4
32.5, 83, 1 0 3
37.3, 93, 1 0 5
42.1, 42, 1 1 0
56.8, 30, 1 1 8

Unit cell a=3.0332 b=3.0332 c=19.8166 alpha=90.00 beta=90.00 gamma=90.00
Positions (direct):
Li 0.0000 0.0000 0.0000
Li 0.5000 0.5000 0.5000
Hf 0.0000 0.0000 0.1557
Hf 0.5000 0.5000 0.6557
Zr 0.0000 0.0000 0.7651
Zr 0.5000 0.5000 0.2651
Cd 0.0000 0.0000 0.3914
Cd 0.5000 0.5000 0.8914